The following is a calculated PXRD pattern of CeThC2. It was derived from a cell relaxed with GGA-PBE, using Cu Kα (weighted mean of Kα1 and Kα2).
Intensities are scaled so that the largest is 100.

Cell and atoms:
```
CeThC2
1.0
3.735 0.000 0.000
-1.868 3.235 0.000
0.000 0.000 18.279
Ce Th C
3 3 6
direct
0.000 0.000 0.000
0.333 0.667 0.667
0.667 0.333 0.333
0.000 0.000 0.500
0.333 0.667 0.167
0.667 0.333 0.833
0.000 0.000 0.251
0.000 0.000 0.749
0.333 0.667 0.416
0.333 0.667 0.918
0.667 0.333 0.082
0.667 0.333 0.584
```

Main lines, by intensity (10 to 80 degrees two-theta):
2θ (°)  I (rel.)
29.3  100
34.0  65
48.8  47
57.9  47
79.0  19
60.8  16
71.5  8
14.5  7

***

The following is a calculated PXRD pattern of Ba3H. It was derived from a cell relaxed with GGA-PBE, using Cu Kα (weighted mean of Kα1 and Kα2).
Intensities are scaled so that the largest is 100.

Cell and atoms:
```
Ba3H
1.0
8.213 0.000 0.000
-4.107 7.113 0.000
0.000 0.000 6.852
Ba H
6 2
direct
0.169 0.337 0.250
0.169 0.831 0.250
0.337 0.169 0.750
0.663 0.831 0.250
0.831 0.169 0.750
0.831 0.663 0.750
0.333 0.667 0.750
0.667 0.333 0.250
```

Main lines, by intensity (10 to 80 degrees two-theta):
2θ (°)  I (rel.)
28.3  100
18.0  34
26.0  28
51.9  24
47.3  24
25.0  23
44.1  19
36.4  17

***

The following is a calculated PXRD pattern of Hf2H2Pd. It was derived from a cell relaxed with GGA-PBE, using Cu Kα (weighted mean of Kα1 and Kα2).
Intensities are scaled so that the largest is 100.

Cell and atoms:
```
Hf2H2Pd
1.0
3.241 0.000 0.000
0.000 3.241 0.000
0.000 0.000 12.062
Hf H Pd
4 4 2
direct
0.000 0.000 0.141
0.000 0.000 0.859
0.500 0.500 0.359
0.500 0.500 0.641
0.000 0.500 0.250
0.000 0.500 0.750
0.500 0.000 0.250
0.500 0.000 0.750
0.000 0.000 0.500
0.500 0.500 0.000
```

Main lines, by intensity (10 to 80 degrees two-theta):
2θ (°)  I (rel.)
35.6  100
39.3  45
68.9  29
56.8  16
28.5  13
61.3  11
47.0  11
50.0  10

***

The following is a calculated PXRD pattern of K3AuF6. It was derived from a cell relaxed with GGA-PBE, using Cu Kα (weighted mean of Kα1 and Kα2).
Intensities are scaled so that the largest is 100.

Cell and atoms:
```
K3AuF6
1.0
0.000 4.638 4.638
4.638 0.000 4.638
4.638 4.638 0.000
K Au F
3 1 6
direct
0.000 0.000 0.000
0.250 0.250 0.250
0.750 0.750 0.750
0.500 0.500 0.500
0.269 0.269 0.731
0.269 0.731 0.269
0.269 0.731 0.731
0.731 0.269 0.269
0.731 0.269 0.731
0.731 0.731 0.269
```

Main lines, by intensity (10 to 80 degrees two-theta):
2θ (°)  I (rel.)
27.2  100
16.6  74
19.1  56
38.8  45
48.1  40
32.0  38
56.1  27
43.6  26

***

The following is a calculated PXRD pattern of SiO2. It was derived from a cell relaxed with GGA-PBE, using Cu Kα (weighted mean of Kα1 and Kα2).
Intensities are scaled so that the largest is 100.

Cell and atoms:
```
SiO2
1.0
9.823 0.000 0.000
0.000 9.823 0.000
0.000 0.000 9.906
Si O
12 24
direct
0.011 0.375 0.372
0.125 0.511 0.622
0.229 0.771 0.750
0.271 0.271 0.500
0.375 0.011 0.628
0.489 0.875 0.878
0.511 0.125 0.378
0.625 0.989 0.128
0.729 0.729 0.000
0.771 0.229 0.250
0.875 0.489 0.122
0.989 0.625 0.872
0.015 0.481 0.500
0.019 0.515 0.750
0.099 0.748 0.852
0.150 0.284 0.386
0.216 0.650 0.636
0.248 0.401 0.602
0.252 0.901 0.648
0.284 0.150 0.614
0.350 0.784 0.864
0.401 0.248 0.398
0.481 0.015 0.500
0.485 0.981 0.750
0.515 0.019 0.250
0.519 0.985 0.000
0.599 0.752 0.898
0.650 0.216 0.364
0.716 0.850 0.114
0.748 0.099 0.148
0.752 0.599 0.102
0.784 0.350 0.136
0.850 0.716 0.886
0.901 0.252 0.352
0.981 0.485 0.250
0.985 0.519 0.000
```

Main lines, by intensity (10 to 80 degrees two-theta):
2θ (°)  I (rel.)
12.7  100
22.1  12
34.1  8
25.5  7
34.0  4
25.7  3
67.2  2
65.7  2

***

The following is a calculated PXRD pattern of La6Si3Ni2. It was derived from a cell relaxed with GGA-PBE, using Cu Kα (weighted mean of Kα1 and Kα2).
Intensities are scaled so that the largest is 100.

Cell and atoms:
```
La6Si3Ni2
1.0
11.857 0.000 0.000
0.000 4.565 0.000
-5.917 0.000 10.332
La Si Ni
12 6 4
direct
0.000 0.000 0.000
0.002 0.500 0.771
0.096 0.000 0.371
0.226 0.000 0.763
0.232 0.500 0.225
0.375 0.500 0.621
0.466 0.000 0.222
0.468 0.500 0.999
0.612 0.500 0.508
0.719 0.500 0.857
0.754 0.000 0.132
0.849 0.000 0.474
0.077 0.500 0.552
0.388 0.000 0.438
0.521 0.000 0.840
0.567 0.000 0.661
0.792 0.000 0.706
0.896 0.500 0.322
0.233 0.250 0.996
0.233 0.750 0.996
0.672 0.500 0.277
0.946 0.500 0.146
```

Main lines, by intensity (10 to 80 degrees two-theta):
2θ (°)  I (rel.)
30.2  100
31.4  19
39.5  15
65.9  11
32.6  10
40.1  10
31.2  10
40.2  9

***

The following is a calculated PXRD pattern of Ti5Cu2. It was derived from a cell relaxed with GGA-PBE, using Cu Kα (weighted mean of Kα1 and Kα2).
Intensities are scaled so that the largest is 100.

Cell and atoms:
```
Ti5Cu2
1.0
12.124 0.000 0.000
0.000 13.178 0.000
0.000 0.000 2.828
Ti Cu
20 8
direct
0.006 0.121 0.000
0.068 0.663 0.500
0.107 0.465 0.000
0.163 0.003 0.500
0.207 0.831 0.000
0.293 0.331 0.000
0.337 0.503 0.500
0.393 0.965 0.000
0.432 0.163 0.500
0.494 0.621 0.000
0.506 0.379 0.000
0.568 0.837 0.500
0.607 0.035 0.000
0.663 0.497 0.500
0.707 0.669 0.000
0.793 0.169 0.000
0.837 0.997 0.500
0.893 0.535 0.000
0.932 0.337 0.500
0.994 0.879 0.000
0.124 0.260 0.500
0.250 0.143 0.000
0.250 0.643 0.000
0.376 0.760 0.500
0.624 0.240 0.500
0.750 0.357 0.000
0.750 0.857 0.000
0.876 0.740 0.500
```

Main lines, by intensity (10 to 80 degrees two-theta):
2θ (°)  I (rel.)
40.4  100
38.6  91
37.7  73
43.8  64
37.2  59
42.1  56
40.8  35
39.5  30

***

The following is a calculated PXRD pattern of Cs4MgTi2Ag4S8. It was derived from a cell relaxed with GGA-PBE, using Cu Kα (weighted mean of Kα1 and Kα2).
Intensities are scaled so that the largest is 100.

Cell and atoms:
```
Cs4MgTi2Ag4S8
1.0
6.258 0.000 0.000
0.000 14.042 0.000
-0.428 0.000 6.412
Cs Mg Ti Ag S
4 1 2 4 8
direct
0.000 0.000 0.000
0.049 0.500 0.436
0.574 0.500 0.916
0.662 0.000 0.419
0.201 0.000 0.559
0.311 0.255 0.172
0.311 0.745 0.172
0.318 0.253 0.683
0.318 0.747 0.683
0.804 0.258 0.163
0.804 0.742 0.163
0.095 0.349 0.954
0.095 0.651 0.954
0.101 0.162 0.382
0.101 0.838 0.382
0.507 0.151 0.978
0.507 0.849 0.978
0.531 0.347 0.392
0.531 0.653 0.392
```

Main lines, by intensity (10 to 80 degrees two-theta):
2θ (°)  I (rel.)
30.7  100
28.1  93
31.4  79
25.4  74
27.1  63
48.1  54
48.6  39
41.7  34

***

The following is a calculated PXRD pattern of Na2Ce2TiSiC2O12. It was derived from a cell relaxed with GGA-PBE, using Cu Kα (weighted mean of Kα1 and Kα2).
Intensities are scaled so that the largest is 100.

Cell and atoms:
```
Na2Ce2TiSiC2O12
1.0
5.069 0.000 0.000
2.512 7.196 0.000
2.489 1.978 13.689
Na Ce Ti Si C O
4 4 2 2 4 24
direct
0.000 0.000 0.000
0.000 0.500 0.500
0.326 0.362 0.973
0.674 0.638 0.027
0.095 0.157 0.717
0.191 0.281 0.282
0.809 0.719 0.718
0.905 0.843 0.283
0.302 0.896 0.500
0.698 0.104 0.500
0.408 0.461 0.642
0.592 0.539 0.358
0.262 0.708 0.852
0.439 0.899 0.154
0.561 0.101 0.846
0.738 0.292 0.148
0.001 0.947 0.418
0.037 0.691 0.905
0.197 0.433 0.744
0.221 0.662 0.584
0.246 0.807 0.764
0.267 0.834 0.124
0.278 0.543 0.343
0.322 0.099 0.893
0.366 0.956 0.240
0.406 0.291 0.584
0.427 0.098 0.418
0.489 0.371 0.121
0.511 0.629 0.879
0.573 0.902 0.582
0.594 0.709 0.416
0.634 0.044 0.760
0.678 0.901 0.107
0.722 0.457 0.657
0.733 0.166 0.876
0.754 0.193 0.236
0.779 0.338 0.416
0.803 0.567 0.256
0.963 0.309 0.095
0.999 0.053 0.582
```

Main lines, by intensity (10 to 80 degrees two-theta):
2θ (°)  I (rel.)
12.9  100
32.0  59
32.7  47
25.6  45
24.1  43
25.3  37
28.5  34
24.9  29

***

The following is a calculated PXRD pattern of DyMn6Ge6. It was derived from a cell relaxed with GGA-PBE, using Cu Kα (weighted mean of Kα1 and Kα2).
Intensities are scaled so that the largest is 100.

Cell and atoms:
```
DyMn6Ge6
1.0
5.178 0.000 0.000
-2.589 4.484 0.000
0.000 0.000 8.143
Dy Mn Ge
1 6 6
direct
0.000 0.000 0.000
0.000 0.500 0.251
0.000 0.500 0.749
0.500 0.000 0.251
0.500 0.000 0.749
0.500 0.500 0.251
0.500 0.500 0.749
0.000 0.000 0.344
0.000 0.000 0.656
0.333 0.667 0.000
0.333 0.667 0.500
0.667 0.333 0.000
0.667 0.333 0.500
```

Main lines, by intensity (10 to 80 degrees two-theta):
2θ (°)  I (rel.)
41.3  100
34.7  77
40.2  49
38.8  42
46.2  38
73.1  29
79.8  26
44.5  24

***

The following is a calculated PXRD pattern of RePt. It was derived from a cell relaxed with GGA-PBE, using Cu Kα (weighted mean of Kα1 and Kα2).
Intensities are scaled so that the largest is 100.

Cell and atoms:
```
RePt
1.0
2.772 0.000 0.000
-1.386 2.401 0.000
0.000 0.000 13.718
Re Pt
3 3
direct
0.000 0.000 0.000
0.333 0.667 0.667
0.667 0.333 0.333
0.000 0.000 0.500
0.333 0.667 0.167
0.667 0.333 0.833
```

Main lines, by intensity (10 to 80 degrees two-theta):
2θ (°)  I (rel.)
39.8  100
46.2  66
39.4  34
67.1  22
67.6  21

***

The following is a calculated PXRD pattern of ICl2. It was derived from a cell relaxed with GGA-PBE, using Cu Kα (weighted mean of Kα1 and Kα2).
Intensities are scaled so that the largest is 100.

Cell and atoms:
```
ICl2
1.0
7.960 0.000 0.000
0.000 7.960 0.000
0.000 0.000 4.351
I Cl
2 4
direct
0.000 0.000 0.000
0.500 0.500 0.500
0.143 0.143 0.500
0.357 0.643 0.000
0.643 0.357 0.000
0.857 0.857 0.500
```

Main lines, by intensity (10 to 80 degrees two-theta):
2θ (°)  I (rel.)
15.7  100
32.5  51
39.8  28
22.3  21
23.3  20
51.8  19
44.7  13
46.1  13